1.
For PuPa6, the PBE geometry in Alexandria gives the simulated powder XRD pattern in this record (Cu Ka).
Lines closer than 0.1° are merged.

Atomic structure:
```
7
Lattice="6.7699 3.9086 1.0717 -6.7699 3.9086 1.0717 0.0000 -7.8172 1.0717" Properties=species:S:1:pos:R:3 pbc="T T T"
Pu 0.0000 0.0000 0.0000
Pa -1.0553 -2.7295 0.7154
Pa -1.8362 2.2787 0.7154
Pa 2.8915 0.4508 0.7154
Pa -2.8915 -0.4508 2.4997
Pa 1.8362 -2.2787 2.4997
Pa 1.0553 2.7295 2.4997
```

Most intense lines, 2θ from 15° to 90°, low angle first:
2theta	Rel. int.
28.8	12
34.5	76
35.1	100
39.4	11
50.0	25
62.5	26
62.9	18
74.1	11

=====

2.
For RbTlHg4Au2, the PBE geometry in Alexandria gives the simulated powder XRD pattern in this record (Cu Ka).
Lines closer than 0.1° are merged.

Atomic structure:
```
8
Lattice="4.4661 0.0000 0.0000 0.0000 4.4661 0.0000 0.0000 0.0000 12.5746" Properties=species:S:1:pos:R:3 pbc="T T T"
Rb 0.0000 0.0000 0.0000
Tl 0.0000 0.0000 6.2873
Hg 0.0000 2.2331 2.9574
Hg 0.0000 2.2331 9.6172
Hg 2.2331 0.0000 2.9574
Hg 2.2331 0.0000 9.6172
Au 2.2331 2.2331 4.9281
Au 2.2331 2.2331 7.6466
```

Most intense lines, 2θ from 15° to 90°, low angle first:
2theta	Rel. int.
28.4	11
29.2	30
31.7	100
34.9	24
40.4	70
54.4	14
58.4	15
68.0	23

=====

3.
For CeZnIn2, the PBE geometry in Alexandria gives the simulated powder XRD pattern in this record (Cu Ka).
Lines closer than 0.1° are merged.

Atomic structure:
```
8
Lattice="4.7151 0.0000 0.0000 0.0000 4.7151 0.0000 0.0000 0.0000 8.7348" Properties=species:S:1:pos:R:3 pbc="T T T"
Ce 1.1788 1.1788 1.9097
Ce 3.5363 3.5363 6.8251
Zn 1.1788 3.5363 0.0000
Zn 3.5363 1.1788 0.0000
In 1.1788 1.1788 6.9215
In 1.1788 3.5363 4.3674
In 3.5363 1.1788 4.3674
In 3.5363 3.5363 1.8133
```

Most intense lines, 2θ from 15° to 90°, low angle first:
2theta	Rel. int.
28.7	9
33.8	100
38.2	41
41.3	10
55.1	14
57.5	14
59.8	8
66.2	27

=====

4.
For Pr5Sb2As2, the PBE geometry in Alexandria gives the simulated powder XRD pattern in this record (Cu Ka).
Lines closer than 0.1° are merged.

Atomic structure:
```
18
Lattice="7.8746 -4.1027 0.0000 7.8746 4.1027 0.0000 0.0000 0.0000 8.2835" Properties=species:S:1:pos:R:3 pbc="T T T"
Pr 0.0000 0.0000 0.0000
Pr 5.8321 2.7808 5.4664
Pr 5.8321 1.3218 1.3246
Pr 9.9171 2.7808 5.4664
Pr 9.9171 1.3218 1.3246
Pr 7.8746 0.0000 4.1417
Pr 5.8321 -1.3218 6.9588
Pr 5.8321 -2.7808 2.8171
Pr 9.9171 -1.3218 6.9588
Pr 9.9171 -2.7808 2.8171
Sb 3.1858 0.0000 0.0000
Sb 4.6888 0.0000 4.1417
Sb 11.0604 0.0000 4.1417
Sb 12.5634 0.0000 0.0000
As 7.8746 2.9155 2.9520
As 7.8746 1.1871 7.0937
As 7.8746 -1.1871 1.1898
As 7.8746 -2.9155 5.3315
```

Most intense lines, 2θ from 15° to 90°, low angle first:
2theta	Rel. int.
24.2	40
29.6	95
30.7	52
31.5	38
32.3	65
33.3	100
34.8	76
35.0	76

=====

5.
For KBa2C2O6, the PBE geometry in Alexandria gives the simulated powder XRD pattern in this record (Cu Ka).
Lines closer than 0.1° are merged.

Atomic structure:
```
11
Lattice="5.5835 0.0000 0.0000 -2.7918 4.8355 0.0000 0.0000 0.0000 8.0806" Properties=species:S:1:pos:R:3 pbc="T T T"
K 0.0000 0.0000 0.0000
Ba 0.0000 3.2237 2.5811
Ba 2.7918 1.6118 5.4995
C 0.0000 3.2237 5.7457
C 2.7918 1.6118 2.3349
O 0.0000 1.9192 5.7241
O -1.1297 3.8759 5.7241
O 1.6621 0.9596 2.3564
O 1.1297 3.8759 5.7241
O 3.9215 0.9596 2.3564
O 2.7918 2.9163 2.3564
```

Most intense lines, 2θ from 15° to 90°, low angle first:
2theta	Rel. int.
18.3	28
21.4	100
22.0	31
28.8	64
32.1	56
38.9	55
43.6	35
46.9	35

=====

6.
For ReIrRu4, the PBE geometry in Alexandria gives the simulated powder XRD pattern in this record (Cu Ka).
Lines closer than 0.1° are merged.

Atomic structure:
```
6
Lattice="2.7411 0.0000 0.0000 0.0000 4.3331 0.0000 -1.3908 0.0000 7.1417" Properties=species:S:1:pos:R:3 pbc="T T T"
Re 0.0000 0.0000 0.0000
Ir -0.0065 2.1666 3.2014
Ru -0.0150 0.0000 4.8142
Ru 1.3716 2.1666 0.8099
Ru 1.3626 0.0000 2.4141
Ru 1.3553 2.1666 5.6050
```

Most intense lines, 2θ from 15° to 90°, low angle first:
2theta	Rel. int.
37.8	24
41.7	37
43.4	100
43.5	49
57.6	22
68.4	17
77.3	27
83.4	20

=====

7.
For Sm5Co2Si, the PBE geometry in Alexandria gives the simulated powder XRD pattern in this record (Cu Ka).
Lines closer than 0.1° are merged.

Atomic structure:
```
16
Lattice="-3.8027 3.8027 6.6535 3.8027 -3.8027 6.6535 3.8027 3.8027 -6.6535" Properties=species:S:1:pos:R:3 pbc="T T T"
Sm 0.0000 0.0000 0.0000
Sm 5.0836 1.2809 -1.8796
Sm 1.2809 2.5218 -1.8796
Sm 5.0836 1.2809 1.8796
Sm 1.2809 2.5218 1.8796
Sm 0.0000 0.0000 6.6535
Sm 2.5218 1.2809 4.7739
Sm -1.2809 2.5218 4.7739
Sm 2.5218 1.2809 8.5331
Sm -1.2809 2.5218 8.5331
Co 2.9271 0.8757 0.0000
Co 2.9271 -0.8757 6.6535
Co 0.8757 4.6784 0.0000
Co 0.8757 2.9271 6.6535
Si 0.0000 0.0000 3.3267
Si 0.0000 0.0000 9.9802
```

Most intense lines, 2θ from 15° to 90°, low angle first:
2theta	Rel. int.
27.0	44
31.6	14
33.2	100
35.9	41
37.4	44
49.9	14
53.8	22
58.5	21

=====

8.
For MnP4, the PBE geometry in Alexandria gives the simulated powder XRD pattern in this record (Cu Ka).
Lines closer than 0.1° are merged.

Atomic structure:
```
10
Lattice="5.1082 0.0000 0.0000 0.3816 5.8215 0.0000 2.5511 1.9203 4.9185" Properties=species:S:1:pos:R:3 pbc="T T T"
Mn 0.8201 1.8515 1.4002
Mn 7.2209 5.8903 3.5182
P 1.0534 3.9391 0.3815
P 2.2909 2.1724 3.0481
P 3.6884 4.9302 2.2373
P 4.8950 3.0370 4.8686
P 3.1460 4.7047 0.0498
P 4.3526 2.8116 2.6812
P 5.7501 5.5694 1.8704
P 6.9876 3.8026 4.5370
```

Most intense lines, 2θ from 15° to 90°, low angle first:
2theta	Rel. int.
19.4	53
22.7	56
31.8	78
32.9	94
33.0	100
39.4	41
50.0	59
52.3	41

=====

Repeat the sixth record exactly.
For ReIrRu4, the PBE geometry in Alexandria gives the simulated powder XRD pattern in this record (Cu Ka).
Lines closer than 0.1° are merged.

Atomic structure:
```
6
Lattice="2.7411 0.0000 0.0000 0.0000 4.3331 0.0000 -1.3908 0.0000 7.1417" Properties=species:S:1:pos:R:3 pbc="T T T"
Re 0.0000 0.0000 0.0000
Ir -0.0065 2.1666 3.2014
Ru -0.0150 0.0000 4.8142
Ru 1.3716 2.1666 0.8099
Ru 1.3626 0.0000 2.4141
Ru 1.3553 2.1666 5.6050
```

Most intense lines, 2θ from 15° to 90°, low angle first:
2theta	Rel. int.
37.8	24
41.7	37
43.4	100
43.5	49
57.6	22
68.4	17
77.3	27
83.4	20